Calculated powder XRD pattern of Na2MgIn10 for Cu Kα X-rays, from a cell relaxed with GGA-PBE.
Lines closer than 0.1° are merged.

Structural model:
a b c (Å): 7.056 19.728 6.408
angles (deg): 90.00 90.00 90.00
Positions (direct):
Na  0.185  0.089  0.000
Na  0.315  0.589  0.000
Na  0.685  0.411  0.000
Na  0.815  0.911  0.000
Mg  0.000  0.000  0.500
Mg  0.500  0.500  0.500
In  0.008  0.846  0.500
In  0.085  0.298  0.500
In  0.146  0.572  0.500
In  0.203  0.429  0.224
In  0.203  0.429  0.776
In  0.297  0.929  0.224
In  0.297  0.929  0.776
In  0.354  0.072  0.500
In  0.415  0.798  0.500
In  0.492  0.346  0.500
In  0.508  0.654  0.500
In  0.585  0.202  0.500
In  0.646  0.928  0.500
In  0.703  0.071  0.224
In  0.703  0.071  0.776
In  0.797  0.571  0.224
In  0.797  0.571  0.776
In  0.854  0.428  0.500
In  0.915  0.702  0.500
In  0.992  0.154  0.500

Main lines, sorted by position (15° ≤ 2θ ≤ 90°):
Position (°2θ)	d/Å	I (rel.)
15.44	5.739	40
26.06	3.419	46
32.00	2.797	91
34.26	2.617	48
35.76	2.511	100
37.11	2.423	47
37.39	2.405	38
40.43	2.231	39

***

Calculated powder XRD pattern of NaMgIn2Pb for Cu Kα X-rays, from a cell relaxed with GGA-PBE.
Lines closer than 0.1° are merged.

Structural model:
a b c (Å): 8.541 8.541 5.959
angles (deg): 90.00 90.00 139.20
Positions (direct):
Na  0.155  0.845  0.750
Na  0.845  0.155  0.250
Mg  0.351  0.649  0.750
Mg  0.649  0.351  0.250
In  0.251  0.251  0.000
In  0.251  0.251  0.500
In  0.749  0.749  0.000
In  0.749  0.749  0.500
Pb  0.249  0.751  0.250
Pb  0.751  0.249  0.750

Main lines, sorted by position (15° ≤ 2θ ≤ 90°):
Position (°2θ)	d/Å	I (rel.)
21.82	4.073	32
22.21	4.002	48
26.97	3.306	35
32.06	2.791	100
35.21	2.549	24
42.94	2.106	26
45.65	1.987	29
48.87	1.864	24

***

Calculated powder XRD pattern of NaMgInSe3 for Cu Kα X-rays, from a cell relaxed with GGA-PBE.
Lines closer than 0.1° are merged.

Structural model:
a b c (Å): 8.013 4.019 11.355
angles (deg): 90.00 108.89 90.00
Positions (direct):
Na  0.217  0.250  0.167
Na  0.783  0.750  0.833
Mg  0.344  0.750  0.909
Mg  0.656  0.250  0.091
In  0.114  0.250  0.637
In  0.886  0.750  0.363
Se  0.077  0.250  0.853
Se  0.227  0.750  0.533
Se  0.473  0.750  0.152
Se  0.527  0.250  0.848
Se  0.773  0.250  0.467
Se  0.923  0.750  0.147

Main lines, sorted by position (15° ≤ 2θ ≤ 90°):
Position (°2θ)	d/Å	I (rel.)
23.63	3.765	78
27.37	3.259	67
27.94	3.194	68
31.54	2.837	45
32.47	2.758	61
41.02	2.200	100
45.11	2.010	41
48.01	1.895	42